1.
# Ac2CuPd3
Calculated X-ray diffraction stick pattern, Cu Kα (weighted mean of Kα1 and Kα2). Input: a crystal structure in Alexandria, relaxed with PBE.
Peak positions follow from Bragg's law for the DFT cell and can differ from measured ones.

Peak list (8 most intense, 10 to 90 degrees two-theta, sorted by position)
- d 3.955, rel. 17.5
- d 2.824, rel. 100.0
- d 2.815, rel. 51.0
- d 2.288, rel. 23.7
- d 2.274, rel. 46.7
- d 2.017, rel. 16.5
- d 1.776, rel. 26.2
- d 1.509, rel. 25.7

Structure:
Cell lengths 9.096, 8.836, 6.100 Å; angles 72.43, 67.82, 39.74 degrees
Sites, in units of the cell vectors:
Ac 0.247 0.753 0.753
Ac 0.250 0.250 0.250
Ac 0.750 0.750 0.750
Ac 0.753 0.247 0.247
Cu 0.333 0.333 0.667
Cu 0.667 0.667 0.333
Pd 0.172 0.172 0.828
Pd 0.173 0.654 0.346
Pd 0.346 0.827 0.173
Pd 0.654 0.173 0.827
Pd 0.827 0.346 0.654
Pd 0.828 0.828 0.172

2.
# AcCu3Pd2
Calculated X-ray diffraction stick pattern, Cu Kα (weighted mean of Kα1 and Kα2). Input: a crystal structure in Alexandria, relaxed with PBE.
Peak positions follow from Bragg's law for the DFT cell and can differ from measured ones.

Peak list (8 most intense, 10 to 90 degrees two-theta, sorted by position)
- d 4.354, rel. 18.6
- d 3.164, rel. 31.4
- d 2.659, rel. 41.2
- d 2.302, rel. 20.9
- d 2.269, rel. 100.0
- d 2.177, rel. 23.9
- d 1.684, rel. 21.4
- d 1.448, rel. 23.9

Structure:
Cell lengths 5.317, 5.317, 4.354 Å; angles 90.00, 90.00, 120.00 degrees
Sites, in units of the cell vectors:
Ac 0.000 0.000 0.000
Cu 0.000 0.500 0.500
Cu 0.500 0.000 0.500
Cu 0.500 0.500 0.500
Pd 0.333 0.667 0.000
Pd 0.667 0.333 0.000

3.
# AcCu2Pd6
Calculated X-ray diffraction stick pattern, Cu Kα (weighted mean of Kα1 and Kα2). Input: a crystal structure in Alexandria, relaxed with PBE.
Peak positions follow from Bragg's law for the DFT cell and can differ from measured ones.

Peak list (8 most intense, 10 to 90 degrees two-theta, sorted by position)
- d 3.436, rel. 43.2
- d 2.849, rel. 71.6
- d 2.193, rel. 18.2
- d 2.014, rel. 100.0
- d 1.645, rel. 18.6
- d 1.424, rel. 15.9
- d 1.274, rel. 23.9
- d 1.163, rel. 32.7

Structure:
Cell lengths 8.058, 8.058, 8.058 Å; angles 60.00, 60.00, 60.00 degrees
Sites, in units of the cell vectors:
Ac 0.125 0.125 0.125
Ac 0.875 0.875 0.875
Cu 0.000 0.500 0.500
Cu 0.500 0.000 0.500
Cu 0.500 0.500 0.000
Cu 0.500 0.500 0.500
Pd 0.123 0.123 0.627
Pd 0.123 0.627 0.123
Pd 0.123 0.627 0.627
Pd 0.373 0.373 0.877
Pd 0.373 0.877 0.373
Pd 0.373 0.877 0.877
Pd 0.627 0.123 0.123
Pd 0.627 0.123 0.627
Pd 0.627 0.627 0.123
Pd 0.877 0.373 0.373
Pd 0.877 0.373 0.877
Pd 0.877 0.877 0.373

4.
# Ac4Cu3Pd5
Calculated X-ray diffraction stick pattern, Cu Kα (weighted mean of Kα1 and Kα2). Input: a crystal structure in Alexandria, relaxed with PBE.
Peak positions follow from Bragg's law for the DFT cell and can differ from measured ones.

Peak list (8 most intense, 10 to 90 degrees two-theta, sorted by position)
- d 3.454, rel. 50.0
- d 3.417, rel. 54.5
- d 3.144, rel. 41.2
- d 2.699, rel. 68.9
- d 2.656, rel. 100.0
- d 2.589, rel. 39.5
- d 2.328, rel. 64.5
- d 2.273, rel. 42.7

Structure:
Cell lengths 7.911, 7.911, 10.549 Å; angles 120.65, 120.65, 34.22 degrees
Sites, in units of the cell vectors:
Ac 0.043 0.043 0.332
Ac 0.264 0.264 0.779
Ac 0.736 0.736 0.221
Ac 0.957 0.957 0.668
Cu 0.000 0.000 0.000
Cu 0.393 0.393 0.122
Cu 0.607 0.607 0.878
Pd 0.284 0.284 0.477
Pd 0.407 0.407 0.367
Pd 0.500 0.500 0.000
Pd 0.593 0.593 0.633
Pd 0.716 0.716 0.523